Simulated powder XRD pattern
Compound: LiPa2PbO8
Radiation: CuKα
Structure: DFT lattice parameters and positions (PBE)
Peak positions follow from Bragg's law for the DFT cell and can differ from measured ones.

Crystal structure
abc: 5.8798 5.8798 5.8013
angles: 90.00 90.00 120.00
Space group P-3 (No. 147)
Symmetry-distinct sites (fractional):
1 Li 0.0000 0.0000 0.0000 [1 per cell]
2 Pa 0.3333 0.6667 0.9172 [2 per cell]
3 Pb 0.0000 0.0000 0.5000 [1 per cell]
4 O 0.0555 0.3514 0.1600 [6 per cell]
5 O 0.3333 0.6667 0.5739 [2 per cell]

Peak list (8 most intense, 2θ = 10–90°, low angle first)
23.24 deg, I 100
30.40 deg, I 60
35.62 deg, I 18
38.62 deg, I 32
43.85 deg, I 25
49.93 deg, I 28
50.48 deg, I 15
54.03 deg, I 17